# Cs2CaGeI6
Simulated powder XRD pattern, CuKα. Input: a structure optimized by DFT (PBE).
Intensities are scaled so that the largest is 100.

Structural model:
Cell lengths 8.6662, 8.6662, 8.6662 Å; angles 60.00, 60.00, 60.00 degrees
Atoms (fractional coordinates):
Cs1 0.2500 0.2500 0.2500
Cs2 0.7500 0.7500 0.7500
Ca1 0.0000 0.0000 0.0000
Ge1 0.5000 0.5000 0.5000
I1 0.2543 0.2543 0.7457
I2 0.2543 0.7457 0.2543
I3 0.2543 0.7457 0.7457
I4 0.7457 0.2543 0.2543
I5 0.7457 0.2543 0.7457
I6 0.7457 0.7457 0.2543

Principal peaks in the range 2θ = 5–70°, low angle first:
2θ/deg	I (rel.)
14.45	4
20.50	5
25.17	100
29.15	82
41.69	61
49.32	47
51.67	22
60.43	10
66.51	19
68.47	27

---

# Cs2CaGeO4
Simulated powder XRD pattern, CuKα. Input: a structure optimized by DFT (PBE).
Intensities are scaled so that the largest is 100.

Structural model:
Cell lengths 13.3488, 12.0964, 6.9045 Å; angles 84.57, 64.44, 30.99 degrees
Atoms (fractional coordinates):
Cs1 0.0546 0.0546 0.6954
Cs2 0.3046 0.3046 0.9454
Cs3 0.6954 0.6954 0.0546
Cs4 0.9454 0.9454 0.3046
Ca1 0.1250 0.1250 0.1250
Ca2 0.8750 0.8750 0.8750
Ge1 0.3750 0.3750 0.3750
Ge2 0.6250 0.6250 0.6250
O1 0.0537 0.6157 0.5279
O2 0.3026 0.5279 0.6157
O3 0.3843 0.9463 0.6974
O4 0.4721 0.6974 0.9463
O5 0.5279 0.3026 0.0537
O6 0.6157 0.0537 0.3026
O7 0.6974 0.4721 0.3843
O8 0.9463 0.3843 0.4721

Principal peaks in the range 2θ = 5–70°, low angle first:
2θ/deg	I (rel.)
20.67	100
26.77	93
28.30	36
28.86	63
32.71	27
34.95	43
39.44	29
40.89	20
49.23	46
50.58	18

---

# Cs3CaGe2O6
Simulated powder XRD pattern, CuKα. Input: a structure optimized by DFT (PBE).
Intensities are scaled so that the largest is 100.

Structural model:
Cell lengths 6.3325, 6.3325, 7.9082 Å; angles 90.00, 90.00, 120.00 degrees
Atoms (fractional coordinates):
Cs1 0.0000 0.0000 0.0000
Cs2 0.3333 0.6667 0.7176
Cs3 0.6667 0.3333 0.2824
Ca1 0.0000 0.0000 0.5000
Ge1 0.3333 0.6667 0.2784
Ge2 0.6667 0.3333 0.7216
O1 0.1765 0.3530 0.3168
O2 0.1765 0.8235 0.3168
O3 0.3530 0.1765 0.6832
O4 0.6470 0.8235 0.3168
O5 0.8235 0.1765 0.6832
O6 0.8235 0.6470 0.6832

Principal peaks in the range 2θ = 5–70°, low angle first:
2θ/deg	I (rel.)
19.70	29
22.49	15
27.82	87
28.18	100
34.62	19
40.01	42
49.66	32
49.89	20
54.74	22
58.29	20

---

# CsCaGeSeO
Simulated powder XRD pattern, CuKα. Input: a structure optimized by DFT (PBE).
Intensities are scaled so that the largest is 100.

Structural model:
Cell lengths 6.6145, 6.6145, 6.2658 Å; angles 98.09, 98.09, 39.45 degrees
Atoms (fractional coordinates):
Cs1 0.0000 0.0000 0.0000
Ca1 0.7381 0.7381 0.3777
Ge1 0.4391 0.4391 0.4680
Se1 0.2905 0.2905 0.1249
O1 0.5653 0.5653 0.3611

Principal peaks in the range 2θ = 5–70°, low angle first:
2θ/deg	I (rel.)
14.33	92
25.01	100
26.25	44
29.01	26
29.56	28
31.48	56
34.42	51
40.40	27
44.11	28
48.13	31

---

# Cs2CaH4
Simulated powder XRD pattern, CuKα. Input: a structure optimized by DFT (PBE).
Intensities are scaled so that the largest is 100.

Structural model:
Cell lengths 8.3810, 8.3810, 8.3810 Å; angles 148.22, 148.22, 45.56 degrees
Atoms (fractional coordinates):
Cs1 0.1481 0.1481 0.0000
Cs2 0.8519 0.8519 0.0000
Ca1 0.5000 0.5000 0.0000
H1 0.0000 0.5000 0.5000
H2 0.3510 0.3510 0.0000
H3 0.5000 0.0000 0.5000
H4 0.6490 0.6490 0.0000

Principal peaks in the range 2θ = 5–70°, low angle first:
2θ/deg	I (rel.)
20.18	27
23.02	13
26.00	100
27.49	49
36.15	17
39.26	19
44.93	16
45.60	12
47.70	37
61.71	10

---

# Cs3Ca2H7
Simulated powder XRD pattern, CuKα. Input: a structure optimized by DFT (PBE).
Intensities are scaled so that the largest is 100.

Structural model:
Cell lengths 12.7499, 12.7499, 12.7499 Å; angles 159.26, 159.26, 29.49 degrees
Atoms (fractional coordinates):
Cs1 0.0000 0.0000 0.0000
Cs2 0.1861 0.1861 0.0000
Cs3 0.8139 0.8139 0.0000
Ca1 0.4063 0.4063 0.0000
Ca2 0.5937 0.5937 0.0000
H1 0.0939 0.5939 0.5000
H2 0.3134 0.3134 0.0000
H3 0.4061 0.9061 0.5000
H4 0.5000 0.5000 0.0000
H5 0.5939 0.0939 0.5000
H6 0.6866 0.6866 0.0000
H7 0.9061 0.4061 0.5000

Principal peaks in the range 2θ = 5–70°, low angle first:
2θ/deg	I (rel.)
19.68	25
21.62	12
26.53	100
27.48	52
35.24	15
39.26	20
45.00	10
46.24	15
48.01	38
54.63	9